This entry pairs a crystal structure of BaLaSmMn3O9 with its simulated powder diffractogram. Radiation: λ = 1.5418 Å (Cu Kα). Structure: a cell relaxed with GGA+U.
No peak broadening, texture or thermal motion is included.

Structure:
```
30
Lattice="5.620 0.000 0.000 -2.810 4.867 0.000 0.000 0.000 13.513" Properties=species:S:1:pos:R:3 pbc="T T T"
Ba 0.000 0.000 0.000
Ba 0.000 0.000 6.756
La 0.000 3.245 4.471
La 2.810 1.622 9.042
Sm 0.000 3.245 11.211
Sm 2.810 1.622 2.302
Mn 0.000 0.000 3.352
Mn 0.000 0.000 10.161
Mn 0.000 3.245 1.111
Mn 0.000 3.245 7.887
Mn 2.810 1.622 5.625
Mn 2.810 1.622 12.402
O -1.324 2.293 0.000
O -1.471 2.547 6.756
O -1.578 3.666 2.327
O -0.350 1.673 9.129
O -1.186 4.333 9.129
O 0.424 1.667 2.327
O 1.232 1.201 11.186
O 1.624 0.534 4.384
O 2.648 0.000 0.000
O 1.339 2.319 6.756
O 2.942 0.000 6.756
O 1.486 2.574 0.000
O 1.536 3.727 9.129
O 1.154 4.401 2.327
O 3.964 0.466 11.186
O 2.460 3.194 4.384
O 4.346 1.139 4.384
O 3.234 3.200 11.186
```

Largest 12 diffraction maxima, by intensity, 10 to 90 degrees two-theta:
d/Å  2θ (°)  I/Imax  hkl
2.775  32.26  100.0  0 1 4
2.810  31.85  98.9  1 1 0
1.974  45.96  60.9  2 0 4
1.616  57.00  40.6  1 2 4
3.949  22.52  33.1  1 0 2
2.289  39.36  27.0  0 2 2
1.622  56.75  22.7  3 0 0
1.596  57.78  18.7  1 0 8
1.388  67.50  17.5  0 2 8
1.405  66.56  16.8  2 2 0
1.244  76.58  16.5  2 1 8
1.253  75.91  15.9  3 1 4